[1]
Simulated powder diffraction line list
Compound: DyNiGe2
Radiation: Cu Kα (weighted mean of Kα1 and Kα2)
Structure: the PBE geometry in the Materials Project

Principal peaks in the range 10° ≤ 2θ ≤ 80°, low angle first:
(hkl)	d_spacing	2theta	I (rel.)
1 1 1	2.903	30.8	23
1 3 1	2.597	34.5	100
1 5 0	2.569	34.9	40
0 6 1	2.299	39.2	30
0 0 2	2.113	42.8	30
2 0 0	2.058	44.0	30
0 8 1	1.848	49.3	13
1 9 0	1.670	55.0	13
1 5 2	1.632	56.4	20
2 6 1	1.534	60.4	19
2 0 2	1.474	63.0	20
1 11 1	1.333	70.7	12

Crystal structure
Cell lengths 4.117, 16.440, 4.226 Å; angles 90.00, 90.00, 90.00 degrees
Element x y z (fractional)
1 Dy 0.000 0.109 0.250
2 Dy 0.000 0.891 0.750
3 Dy 0.500 0.391 0.750
4 Dy 0.500 0.609 0.250
5 Ni 0.000 0.321 0.250
6 Ni 0.000 0.679 0.750
7 Ni 0.500 0.179 0.750
8 Ni 0.500 0.821 0.250
9 Ge 0.000 0.251 0.750
10 Ge 0.000 0.460 0.250
11 Ge 0.000 0.540 0.750
12 Ge 0.000 0.749 0.250
13 Ge 0.500 0.040 0.750
14 Ge 0.500 0.249 0.250
15 Ge 0.500 0.751 0.750
16 Ge 0.500 0.960 0.250

---

[2]
Simulated powder diffraction line list
Compound: Dy3NiGe2
Radiation: Cu Kα (weighted mean of Kα1 and Kα2)
Structure: the PBE geometry in the Materials Project

Principal peaks in the range 10° ≤ 2θ ≤ 80°, low angle first:
(hkl)	d_spacing	2theta	I (rel.)
2 1 1	3.227	27.6	49
3 0 2	3.154	28.3	52
2 1 2	2.894	30.9	60
0 1 3	2.800	32.0	100
4 0 1	2.762	32.4	34
1 0 4	2.748	32.6	42
3 1 1	2.724	32.9	74
3 1 2	2.516	35.7	78
4 1 1	2.304	39.1	46
2 1 4	2.167	41.7	29
0 2 0	2.088	43.3	63
5 1 3	1.767	51.7	26

Crystal structure
Cell lengths 11.391, 4.175, 11.326 Å; angles 90.00, 90.00, 90.00 degrees
Element x y z (fractional)
1 Dy 0.058 0.250 0.127
2 Dy 0.118 0.750 0.558
3 Dy 0.217 0.250 0.804
4 Dy 0.283 0.750 0.304
5 Dy 0.382 0.250 0.058
6 Dy 0.442 0.750 0.627
7 Dy 0.558 0.250 0.373
8 Dy 0.618 0.750 0.942
9 Dy 0.717 0.250 0.696
10 Dy 0.783 0.750 0.196
11 Dy 0.882 0.250 0.442
12 Dy 0.942 0.750 0.873
13 Ni 0.131 0.250 0.367
14 Ni 0.369 0.750 0.867
15 Ni 0.631 0.250 0.133
16 Ni 0.869 0.750 0.633
17 Ge 0.020 0.750 0.312
18 Ge 0.193 0.750 0.997
19 Ge 0.307 0.250 0.497
20 Ge 0.480 0.250 0.812
21 Ge 0.520 0.750 0.188
22 Ge 0.693 0.750 0.503
23 Ge 0.807 0.250 0.003
24 Ge 0.980 0.250 0.688